Record 1
Structure and theoretical X-ray diffraction stick pattern of LiFeP2O7 (a DFT-relaxed cell (GGA+U, the Materials Project); copper Kα).
Kinematic intensities with the Lorentz-polarization factor, no thermal factor.

a b c (Å): 7.511 6.196 12.579
angles (deg): 90.00 117.21 90.00
Space group P2_1/c (No. 14)
Unique sites:
Li 0.175 0.116 0.047 x4
Fe 0.293 0.123 0.768 x4
P 0.189 0.612 0.784 x4
P 0.277 0.649 0.040 x4
O 0.038 0.141 0.779 x4
O 0.098 0.710 0.511 x4
O 0.254 0.066 0.224 x4
O 0.258 0.533 0.919 x4
O 0.294 0.060 0.613 x4
O 0.309 0.683 0.296 x4
O 0.466 0.707 0.591 x4

Most intense lines, 10 to 90 degrees two-theta, low angle first:
| index | 2θ (°) | d/Å | I_rel |
| --- | --- | --- | --- |
| 0 0 2 | 15.8 | 5.593 | 894 |
| 0 1 1 | 16.4 | 5.420 | 309 |
| 1 1 -2 | 21.0 | 4.228 | 825 |
| 2 0 0 | 26.7 | 3.340 | 1000 |
| 2 1 -1 | 28.1 | 3.176 | 888 |
| 1 0 -4 | 28.4 | 3.142 | 585 |
| 0 2 1 | 29.9 | 2.986 | 663 |
| 0 0 4 | 32.0 | 2.797 | 404 |

---

Record 2
Structure and theoretical X-ray diffraction stick pattern of LiFePO4 (a DFT-relaxed cell (GGA+U, the Materials Project); copper Kα).
Kinematic intensities with the Lorentz-polarization factor, no thermal factor.

a b c (Å): 13.9551 13.9551 9.3916
angles (deg): 90.00 90.00 120.00
Space group R3 (No. 146, hexagonal axes)
Unique sites:
Li 0.0098 0.8055 0.0000 x9
Li 0.1420 0.4550 0.1642 x9
Fe 0.0189 0.8062 0.3348 x9
Fe 0.1388 0.4559 0.4987 x9
P 0.0125 0.8036 0.6699 x9
P 0.1359 0.4595 0.8347 x9
O 0.0007 0.3136 0.1766 x9
O 0.0066 0.6894 0.6742 x9
O 0.0673 0.8700 0.8074 x9
O 0.0777 0.8688 0.5349 x9
O 0.1051 0.8907 0.1616 x9
O 0.1971 0.4574 0.6977 x9
O 0.1987 0.0704 0.3027 x9
O 0.2173 0.1089 0.6628 x9

Most intense lines, 10 to 90 degrees two-theta, low angle first:
| index | 2θ (°) | d/Å | I_rel |
| --- | --- | --- | --- |
| 0 1 2 | 20.3 | 4.377 | 363 |
| 3 -1 1 | 21.6 | 4.108 | 1000 |
| 3 0 0 | 22.1 | 4.028 | 301 |
| 2 2 0 | 25.5 | 3.489 | 932 |
| 1 1 3 | 31.3 | 2.856 | 918 |
| 4 1 0 | 34.0 | 2.637 | 835 |
| 6 -3 3 | 48.8 | 1.867 | 407 |
| 1 7 3 | 65.5 | 1.425 | 458 |

---

Record 3
Structure and theoretical X-ray diffraction stick pattern of Li6Fe9P8O32 (a DFT-relaxed cell (GGA+U, the Materials Project); copper Kα).
Kinematic intensities with the Lorentz-polarization factor, no thermal factor.

a b c (Å): 8.834 9.017 9.100
angles (deg): 111.36 99.89 102.55
Space group P-1 (No. 2)
Unique sites:
Li 0.035 0.269 0.269 x2
Li 0.330 0.818 0.363 x2
Li 0.365 0.623 0.005 x2
Fe 0.000 0.000 0.500 x1
Fe 0.000 0.500 0.000 x1
Fe 0.195 0.231 0.932 x2
Fe 0.292 0.635 0.575 x2
Fe 0.311 0.206 0.462 x2
Fe 0.500 0.000 0.000 x1
P 0.041 0.387 0.655 x2
P 0.166 0.886 0.099 x2
P 0.338 0.036 0.719 x2
P 0.405 0.470 0.284 x2
O 0.009 0.176 0.018 x2
O 0.102 0.569 0.671 x2
O 0.104 0.388 0.828 x2
O 0.106 0.262 0.530 x2
O 0.145 0.675 0.402 x2
O 0.154 0.022 0.702 x2
O 0.169 0.996 0.278 x2
O 0.209 0.727 0.101 x2
O 0.282 0.368 0.342 x2
O 0.283 0.985 0.037 x2
O 0.326 0.462 0.114 x2
O 0.379 0.887 0.742 x2
O 0.384 0.050 0.569 x2
O 0.425 0.195 0.885 x2
O 0.441 0.583 0.725 x2
O 0.454 0.657 0.417 x2

Most intense lines, 10 to 90 degrees two-theta, low angle first:
| index | 2θ (°) | d/Å | I_rel |
| --- | --- | --- | --- |
| 1 1 -1 | 16.2 | 5.466 | 1000 |
| 0 0 2 | 21.8 | 4.073 | 538 |
| -1 2 1 | 26.9 | 3.311 | 671 |
| 2 1 -2 | 27.4 | 3.258 | 674 |
| 3 0 -1 | 31.2 | 2.869 | 533 |
| -3 1 1 | 31.3 | 2.856 | 791 |
| 1 -3 2 | 31.9 | 2.802 | 800 |
| -1 2 2 | 35.2 | 2.548 | 446 |